No. 1
Structure and calculated powder diffraction line list of YTm4Lu2Ni2Te2 (a GGA-PBE-relaxed structure; Cu Kα).
Kinematic intensities with the Lorentz-polarization factor, no thermal factor.

Most intense lines, 10 to 90 degrees two-theta, in order of rising 2θ:
25.2 deg, intensity 27, (1 0 1)
29.2 deg, intensity 19, (1 3 0)
30.6 deg, intensity 19, (0 5 1)
30.7 deg, intensity 44, (1 1 2)
33.4 deg, intensity 84, (0 3 3)
34.5 deg, intensity 100, (1 4 1)
34.9 deg, intensity 85, (0 6 0)
37.0 deg, intensity 20, (1 0 3)
38.9 deg, intensity 22, (1 2 3)
45.5 deg, intensity 17, (1 1 4)
47.7 deg, intensity 30, (2 0 0)
59.5 deg, intensity 32, (2 3 3)

Structure:
Cell: 3.8136 15.3820 9.4514 Å, 90.00 90.00 90.00°
Space group Imm2 (No. 44)
Symmetry-distinct sites (fractional):
Y (0.0000, 0.0000, 0.0000) x2
Tm (0.0000, 0.1327, 0.4178) x4
Tm (0.0000, 0.3525, 0.2690) x4
Lu (0.0000, 0.3148, 0.6198) x4
Ni (0.0000, 0.2384, 0.9282) x4
Te (0.0000, 0.0000, 0.6636) x2
Te (0.0000, 0.5000, 0.7648) x2



No. 2
Structure and calculated powder diffraction line list of Y5Lu2Ni2Te2 (a GGA-PBE-relaxed structure; Cu Kα).
Kinematic intensities with the Lorentz-polarization factor, no thermal factor.

Most intense lines, 10 to 90 degrees two-theta, in order of rising 2θ:
10.9 deg, intensity 23, (0 1 1)
24.9 deg, intensity 17, (1 0 1)
28.7 deg, intensity 15, (0 1 3)
30.4 deg, intensity 38, (1 1 2)
33.1 deg, intensity 60, (0 3 3)
34.0 deg, intensity 100, (1 4 1)
34.6 deg, intensity 66, (0 6 0)
45.2 deg, intensity 18, (1 1 4)
47.1 deg, intensity 26, (2 0 0)
51.1 deg, intensity 17, (1 7 2)
58.8 deg, intensity 23, (2 3 3)
62.0 deg, intensity 16, (1 7 4)

Structure:
Cell: 3.8586 15.5811 9.5111 Å, 90.00 90.00 90.00°
Space group Imm2 (No. 44)
Symmetry-distinct sites (fractional):
Y (0.0000, 0.0000, 0.0000) x2
Y (0.0000, 0.3155, 0.6211) x4
Y (0.0000, 0.3536, 0.2667) x4
Lu (0.0000, 0.1338, 0.4162) x4
Ni (0.0000, 0.2416, 0.9267) x4
Te (0.0000, 0.0000, 0.6581) x2
Te (0.0000, 0.5000, 0.7679) x2



No. 3
Structure and calculated powder diffraction line list of Lu4Tl5Ni2 (a GGA-PBE-relaxed structure; Cu Kα).
Kinematic intensities with the Lorentz-polarization factor, no thermal factor.

Most intense lines, 10 to 90 degrees two-theta, in order of rising 2θ:
31.6 deg, intensity 47, (1 0 3)
33.3 deg, intensity 41, (1 1 -2)
34.4 deg, intensity 100, (1 1 2)
34.6 deg, intensity 44, (3 0 0)
35.2 deg, intensity 46, (2 0 -3)
36.2 deg, intensity 23, (2 1 1)
38.2 deg, intensity 28, (3 0 -2)
38.4 deg, intensity 22, (0 1 3)
38.5 deg, intensity 20, (2 1 -2)
52.0 deg, intensity 23, (0 2 0)
59.0 deg, intensity 18, (4 1 2)
64.4 deg, intensity 21, (2 2 -3)

Structure:
Cell: 7.8066 3.5155 9.4628 Å, 90.00 94.68 90.00°
Space group P2/m (No. 10)
Symmetry-distinct sites (fractional):
Lu (0.1888, 0.0000, 0.3342) x2
Lu (0.2011, 0.0000, 0.9337) x2
Tl (0.1480, 0.5000, 0.6380) x2
Tl (0.4570, 0.5000, 0.1630) x2
Tl (0.5000, 0.5000, 0.5000) x1
Ni (0.0725, 0.5000, 0.1281) x2



No. 4
Structure and calculated powder diffraction line list of LuTlZnNi (a GGA-PBE-relaxed structure; Cu Kα).
Kinematic intensities with the Lorentz-polarization factor, no thermal factor.

Most intense lines, 10 to 90 degrees two-theta, in order of rising 2θ:
23.1 deg, intensity 25, (1 1 1)
38.2 deg, intensity 100, (2 2 0)
45.2 deg, intensity 14, (3 1 1)
55.2 deg, intensity 17, (4 0 0)
60.6 deg, intensity 6, (3 3 1)
69.1 deg, intensity 35, (4 2 2)
74.0 deg, intensity 5, (5 1 1)
81.8 deg, intensity 11, (4 4 0)
86.5 deg, intensity 5, (5 3 1)

Structure:
Cell: 6.6592 6.6592 6.6592 Å, 90.00 90.00 90.00°
Space group F-43m (No. 216)
Symmetry-distinct sites (fractional):
Lu (0.0000, 0.0000, 0.0000) x4
Tl (0.2500, 0.2500, 0.2500) x4
Zn (0.2500, 0.2500, 0.7500) x4
Ni (0.0000, 0.0000, 0.5000) x4



What is the formula in the first record?
YTm4Lu2Ni2Te2